# PaGeSeN2
Calculated powder XRD pattern, λ = 1.5418 Å (Cu Kα). Input: a structure optimized by DFT (GGA-PBE).
Neutral-atom scattering factors, no anomalous dispersion.

Main lines, low angle first (2θ from 10° to 80°):
d = 8.816 Å, I = 74, hkl 0 0 1
d = 3.887 Å, I = 34, hkl 1 0 -2
d = 3.074 Å, I = 100, hkl 1 0 2
d = 3.032 Å, I = 85, hkl 1 1 -1
d = 2.312 Å, I = 48, hkl 0 1 3
d = 1.940 Å, I = 28, hkl 2 1 -3

Structure:
```
data_PaGeSeN2
_chemical_formula_sum 'Pa2 Ge2 Se2 N4'
_symmetry_space_group_name_H-M 'P 1 21/m 1'
_symmetry_Int_Tables_number 11
_cell_length_a 5.5347
_cell_length_b 3.7449
_cell_length_c 9.0704
_cell_angle_alpha 90.00
_cell_angle_beta 103.60
_cell_angle_gamma 90.00
loop_
_symmetry_equiv_pos_as_xyz
'x,y,z'
'-x,-y,-z'
'-x,y+1/2,-z'
'x,-y+1/2,z'
loop_
_atom_site_label
_atom_site_fract_x
_atom_site_fract_y
_atom_site_fract_z
Pa1 0.2108 0.2500 0.4023
Ge1 0.3319 0.2500 0.7773
Se1 0.1609 0.7500 0.9198
N1 0.0366 0.2500 0.6097
N2 0.4579 0.7500 0.3772
```